Structure and calculated XRD peak list of Nb3B4 (a structure optimized by DFT (GGA-PBE); λ = 1.5418 Å (Cu Kα)).

Structure:
Cell lengths 3.1573, 3.3242, 14.1685 Å; angles 90.00, 90.00, 90.00 degrees
Atoms (fractional coordinates):
1 Nb 0.0000 0.0000 0.0000
2 Nb 0.0000 0.5000 0.3149
3 Nb 0.0000 0.5000 0.6851
4 Nb 0.5000 0.0000 0.1851
5 Nb 0.5000 0.0000 0.8149
6 Nb 0.5000 0.5000 0.5000
7 B 0.0000 0.0000 0.4357
8 B 0.0000 0.0000 0.5643
9 B 0.0000 0.5000 0.1323
10 B 0.0000 0.5000 0.8677
11 B 0.5000 0.0000 0.3677
12 B 0.5000 0.0000 0.6323
13 B 0.5000 0.5000 0.0643
14 B 0.5000 0.5000 0.9357

Largest 10 diffraction maxima, low angle first, 2θ = 10–80°:
index, 2theta, I_rel
0 1 1, 27.6, 55
1 0 3, 34.2, 100
0 0 6, 38.1, 31
1 1 2, 41.5, 100
0 1 5, 41.9, 67
1 1 4, 47.3, 17
0 2 0, 55.3, 18
1 2 3, 66.6, 28
1 1 8, 66.8, 28
2 1 5, 74.5, 23


Structure and calculated XRD peak list of CaLaAg2 (a structure optimized by DFT (GGA-PBE); λ = 1.5418 Å (Cu Kα)).

Structure:
Cell lengths 7.5562, 7.5562, 7.5562 Å; angles 90.00, 90.00, 90.00 degrees
Atoms (fractional coordinates):
1 Ca 0.0000 0.0000 0.0000
2 Ca 0.0000 0.5000 0.5000
3 Ca 0.5000 0.0000 0.5000
4 Ca 0.5000 0.5000 0.0000
5 La 0.0000 0.0000 0.5000
6 La 0.0000 0.5000 0.0000
7 La 0.5000 0.0000 0.0000
8 La 0.5000 0.5000 0.5000
9 Ag 0.2500 0.2500 0.2500
10 Ag 0.2500 0.2500 0.7500
11 Ag 0.2500 0.7500 0.2500
12 Ag 0.2500 0.7500 0.7500
13 Ag 0.7500 0.2500 0.2500
14 Ag 0.7500 0.2500 0.7500
15 Ag 0.7500 0.7500 0.2500
16 Ag 0.7500 0.7500 0.7500

Largest 10 diffraction maxima, low angle first, 2θ = 10–80°:
index, 2theta, I_rel
1 1 1, 20.4, 12
2 0 0, 23.5, 2
2 2 0, 33.5, 100
3 1 1, 39.6, 7
4 0 0, 48.2, 17
3 3 1, 52.8, 3
4 2 2, 60.0, 35
5 1 1, 64.0, 2
4 4 0, 70.5, 11
5 3 1, 74.3, 2


Structure and calculated XRD peak list of Li2Cu3F11 (a structure optimized by DFT (GGA-PBE); λ = 1.5418 Å (Cu Kα)).

Structure:
Cell lengths 6.2015, 7.2958, 9.1335 Å; angles 90.00, 93.59, 90.00 degrees
Atoms (fractional coordinates):
1 Li 0.0000 0.0000 0.0000
2 Li 0.0874 0.5000 0.1030
3 Li 0.3706 0.0000 0.4043
4 Li 0.4761 0.5000 0.5042
5 Cu 0.5571 0.2509 0.1267
6 Cu 0.5571 0.7491 0.1267
7 Cu 0.7215 0.2502 0.7513
8 Cu 0.7215 0.7498 0.7513
9 Cu 0.8981 0.2486 0.3754
10 Cu 0.8981 0.7514 0.3754
11 F 0.1902 0.2042 0.4079
12 F 0.1902 0.7958 0.4079
13 F 0.2635 0.2931 0.0976
14 F 0.2635 0.7069 0.0976
15 F 0.4695 0.3077 0.6519
16 F 0.4695 0.6923 0.6519
17 F 0.4818 0.0000 0.1874
18 F 0.5730 0.1942 0.9256
19 F 0.5730 0.8058 0.9256
20 F 0.5878 0.3053 0.3421
21 F 0.5878 0.6947 0.3421
22 F 0.6501 0.5000 0.0898
23 F 0.6729 0.0000 0.6932
24 F 0.7693 0.5000 0.8104
25 F 0.8064 0.0000 0.4158
26 F 0.8673 0.3089 0.5758
27 F 0.8673 0.6911 0.5758
28 F 0.8676 0.1932 0.1595
29 F 0.8676 0.8068 0.1595
30 F 0.9752 0.1921 0.8506
31 F 0.9752 0.8079 0.8506
32 F 0.9773 0.5000 0.3158

Largest 10 diffraction maxima, low angle first, 2θ = 10–80°:
index, 2theta, I_rel
1 0 0, 14.3, 100
1 0 1, 17.8, 32
1 0 -2, 23.5, 50
0 2 0, 24.4, 61
1 2 0, 28.4, 13
0 0 3, 29.4, 19
2 0 1, 31.1, 18
1 2 -2, 34.1, 20
0 4 0, 50.0, 17
1 2 -5, 57.6, 14


Structure and calculated XRD peak list of Sr5Re12O36 (a structure optimized by DFT (GGA-PBE); λ = 1.5418 Å (Cu Kα)).

Structure:
Cell lengths 8.0437, 8.1117, 13.1453 Å; angles 90.04, 90.05, 109.57 degrees
Atoms (fractional coordinates):
1 Sr 0.0000 0.0000 0.0000
2 Sr 0.0035 0.9998 0.6310
3 Sr 0.3151 0.6730 0.3152
4 Sr 0.6708 0.3104 0.3157
5 Sr 0.8177 0.4491 0.8156
6 Re 0.1463 0.5010 0.9968
7 Re 0.2070 0.6983 0.5705
8 Re 0.2510 0.3813 0.7466
9 Re 0.3837 0.2375 0.8843
10 Re 0.4333 0.9251 0.0673
11 Re 0.5005 0.1334 0.6324
12 Re 0.6336 0.9941 0.4971
13 Re 0.7040 0.2009 0.0660
14 Re 0.7534 0.8785 0.2470
15 Re 0.8840 0.7468 0.3846
16 Re 0.9304 0.4286 0.5620
17 Re 0.9962 0.6287 0.1318
18 O 0.0240 0.3168 0.6717
19 O 0.1020 0.8040 0.4653
20 O 0.1417 0.4838 0.8481
21 O 0.1450 0.1406 0.8141
22 O 0.1496 0.4864 0.4810
23 O 0.1537 0.4882 0.1492
24 O 0.2007 0.8386 0.1354
25 O 0.2765 0.3382 0.9859
26 O 0.2891 0.9287 0.6360
27 O 0.3060 0.5951 0.6689
28 O 0.3201 0.0245 0.9640
29 O 0.3410 0.2715 0.6429
30 O 0.3420 0.7011 0.9974
31 O 0.4286 0.7872 0.4941
32 O 0.4831 0.4699 0.8149
33 O 0.4895 0.1445 0.1516
34 O 0.4921 0.1514 0.4807
35 O 0.4936 0.1469 0.7815
36 O 0.5272 0.8170 0.1705
37 O 0.6046 0.3036 0.9617
38 O 0.6343 0.9825 0.3461
39 O 0.6458 0.6420 0.3152
40 O 0.6553 0.9810 0.9864
41 O 0.6565 0.9854 0.6462
42 O 0.7053 0.3408 0.6371
43 O 0.7846 0.8471 0.4900
44 O 0.7886 0.4254 0.1377
45 O 0.8130 0.0999 0.1676
46 O 0.8198 0.5215 0.4601
47 O 0.8449 0.1984 0.4943
48 O 0.8507 0.7804 0.1386
49 O 0.9306 0.2894 0.9922
50 O 0.9800 0.6451 0.6513
51 O 0.9807 0.9741 0.3155
52 O 0.9829 0.6470 0.9795
53 O 0.9870 0.6311 0.2831

Largest 10 diffraction maxima, low angle first, 2θ = 10–80°:
index, 2theta, I_rel
0 1 -1, 13.4, 100
1 1 0, 19.1, 53
2 -2 2, 30.3, 45
-2 1 3, 30.4, 48
-1 3 2, 35.9, 17
3 -2 1, 36.1, 22
1 0 5, 36.2, 26
1 3 4, 49.9, 15
-4 3 1, 50.0, 16
4 0 -2, 50.1, 20